Structure and simulated powder diffractogram of MgCo6O2F10 (a DFT-relaxed cell (GGA+U, Alexandria); Cu Kα).
Kinematic intensities with the Lorentz-polarization factor, no thermal factor.

Main lines, in order of rising 2θ (10° ≤ 2θ ≤ 90°):
| d [Å] | I_rel | h k l |
| --- | --- | --- |
| 4.177 | 100.0 | 1 1 1 |
| 4.068 | 24.5 | 0 1 2 |
| 3.606 | 33.9 | 1 1 -1 |
| 3.482 | 24.4 | 1 0 -2 |
| 3.270 | 17.5 | 1 -1 0 |
| 3.201 | 29.3 | -1 1 1 |
| 2.860 | 27.0 | 1 0 3 |
| 2.532 | 21.4 | 2 0 0 |

Crystal structure
a = 5.247 Å, b = 5.543 Å, c = 10.322 Å
α = 77.08°, β = 84.03°, γ = 75.12°
Space group P1 (No. 1)
Unique sites:
1 Mg 0.000 0.000 0.000
2 Co 0.054 0.367 0.655
3 Co 0.487 0.185 0.210
4 Co 0.509 0.838 0.769
5 Co 0.592 0.174 0.477
6 Co 0.978 0.677 0.364
7 Co 0.993 0.506 0.997
8 O 0.379 0.120 0.634
9 O 0.693 0.971 0.346
10 F 0.096 0.696 0.539
11 F 0.104 0.279 0.863
12 F 0.194 0.155 0.113
13 F 0.273 0.729 0.932
14 F 0.345 0.453 0.322
15 F 0.684 0.521 0.715
16 F 0.710 0.287 0.046
17 F 0.775 0.854 0.899
18 F 0.878 0.352 0.474
19 F 0.948 0.705 0.144